Diffraction record for Ba3Ti2CrO8. The XRD peak list is simulated, not measured: it uses a GGA+U-relaxed structure and copper Kα.

Top 10 peaks for 10 to 90 degrees two-theta, most intense first:
| Position (°2θ) | I (rel.) | hkl |
| --- | --- | --- |
| 30.32 | 100 | 1 1 0 |
| 29.39 | 79 | 0 1 2 |
| 42.73 | 45 | 2 0 2 |
| 20.99 | 33 | 1 0 1 |
| 53.29 | 29 | 1 2 2 |
| 37.17 | 22 | 0 2 1 |
| 53.87 | 19 | 3 0 0 |
| 63.07 | 17 | 2 2 0 |
| 47.45 | 15 | 1 1 3 |
| 51.54 | 13 | 1 0 4 |

Structural model:
```
data_Ba3Ti2CrO8
_symmetry_space_group_name_H-M 'P -3 m 1'
_symmetry_Int_Tables_number 164
_symmetry_space_group_name_Hall '-P 3 2"'
_cell_length_a 5.8960
_cell_length_b 5.8960
_cell_length_c 7.5629
_cell_angle_alpha 90.00
_cell_angle_beta 90.00
_cell_angle_gamma 120.00
loop_
_atom_site_label
_atom_site_fract_x
_atom_site_fract_y
_atom_site_fract_z
Ba1 0.0000 0.0000 0.0000
Ba2 0.3333 0.6667 0.6523
Ti1 0.3333 0.6667 0.2203
Cr1 0.0000 0.0000 0.5000
O1 0.1673 0.3347 0.3181
O2 0.3333 0.6667 0.9838
```

Diffraction record for Ba2Ti4Cr2O13. The XRD peak list is simulated, not measured: it uses a GGA+U-relaxed structure and copper Kα.

Top 10 peaks for 10 to 90 degrees two-theta, most intense first:
| Position (°2θ) | I (rel.) | hkl |
| --- | --- | --- |
| 29.95 | 100 | 2 0 -3 |
| 29.57 | 94 | 3 1 -1 |
| 28.79 | 79 | 3 1 0 |
| 31.28 | 71 | 3 1 1 |
| 19.41 | 66 | 0 0 2 |
| 46.00 | 63 | 0 2 0 |
| 31.07 | 58 | 1 1 2 |
| 24.23 | 55 | 4 0 -1 |
| 43.21 | 54 | 4 0 -4 |
| 43.62 | 44 | 6 0 2 |

Structural model:
```
data_Ba2Ti4Cr2O13
_symmetry_space_group_name_H-M 'C 1 2/m 1'
_symmetry_Int_Tables_number 12
_cell_length_a 15.207
_cell_length_b 3.946
_cell_length_c 9.245
_cell_angle_alpha 90.00
_cell_angle_beta 98.38
_cell_angle_gamma 90.00
loop_
_symmetry_equiv_pos_as_xyz
'x,y,z'
'-x,-y,-z'
'-x,y,-z'
'x,-y,z'
'x+1/2,y+1/2,z'
'-x+1/2,-y+1/2,-z'
'-x+1/2,y+1/2,-z'
'x+1/2,-y+1/2,z'
loop_
_atom_site_label
_atom_site_fract_x
_atom_site_fract_y
_atom_site_fract_z
Ba1 0.052 0.000 0.270
Ti1 0.124 0.500 0.586
Ti2 0.166 0.500 0.936
Cr1 0.244 0.500 0.259
O1 0.000 0.500 0.500
O2 0.067 0.500 0.805
O3 0.130 0.500 0.117
O4 0.132 0.000 0.614
O5 0.169 0.500 0.417
O6 0.199 0.000 0.928
O7 0.235 0.500 0.743
```

Diffraction record for Ba2Tl2Cr3O10. The XRD peak list is simulated, not measured: it uses a GGA+U-relaxed structure and copper Kα.

Top 10 peaks for 10 to 90 degrees two-theta, most intense first:
| Position (°2θ) | I (rel.) | hkl |
| --- | --- | --- |
| 27.84 | 100 | 1 0 -3 |
| 28.00 | 98 | 0 1 3 |
| 32.60 | 77 | 1 1 0 |
| 33.04 | 45 | 1 1 1 |
| 46.21 | 40 | 1 1 6 |
| 37.33 | 30 | 0 0 7 |
| 55.22 | 30 | 2 1 3 |
| 55.49 | 30 | 1 2 -3 |
| 50.39 | 28 | 1 1 7 |
| 59.79 | 27 | 1 0 -10 |

Structural model:
```
data_Ba2Tl2Cr3O10
_symmetry_space_group_name_H-M 'P 1 m 1'
_symmetry_Int_Tables_number 6
_cell_length_a 3.901
_cell_length_b 3.869
_cell_length_c 16.861
_cell_angle_alpha 90.00
_cell_angle_beta 90.01
_cell_angle_gamma 90.00
loop_
_symmetry_equiv_pos_as_xyz
'x,y,z'
'x,-y,z'
loop_
_atom_site_label
_atom_site_fract_x
_atom_site_fract_y
_atom_site_fract_z
Ba1 0.000 0.000 0.000
Ba2 0.500 0.500 0.474
Tl1 0.463 0.500 0.168
Tl2 0.962 0.000 0.307
Cr1 0.000 0.000 0.609
Cr2 0.000 0.500 0.737
Cr3 0.500 0.500 0.864
O1 0.000 0.000 0.718
O2 0.000 0.500 0.615
O3 0.000 0.500 0.859
O4 0.006 0.000 0.431
O5 0.096 0.000 0.183
O6 0.500 0.000 0.576
O7 0.500 0.000 0.899
O8 0.500 0.500 0.755
O9 0.507 0.500 0.045
O10 0.596 0.500 0.292
```

Diffraction record for Ba2Tl2Zn2Cr3O10. The XRD peak list is simulated, not measured: it uses a GGA+U-relaxed structure and copper Kα.

Top 10 peaks for 10 to 90 degrees two-theta, most intense first:
| Position (°2θ) | I (rel.) | hkl |
| --- | --- | --- |
| 32.54 | 100 | 1 1 0 |
| 29.30 | 79 | 1 0 -4 |
| 29.43 | 41 | 0 1 -4 |
| 29.03 | 41 | 0 1 4 |
| 32.87 | 34 | 1 -1 1 |
| 56.23 | 31 | 1 2 -4 |
| 31.85 | 30 | 0 0 7 |
| 46.77 | 26 | 2 0 0 |
| 46.58 | 23 | 0 2 0 |
| 32.39 | 20 | 1 0 5 |

Structural model:
```
data_Ba2Tl2Zn2Cr3O10
_symmetry_space_group_name_H-M 'P 1'
_symmetry_Int_Tables_number 1
_cell_length_a 3.884
_cell_length_b 3.900
_cell_length_c 19.671
_cell_angle_alpha 89.22
_cell_angle_beta 89.98
_cell_angle_gamma 89.99
loop_
_symmetry_equiv_pos_as_xyz
'x,y,z'
loop_
_atom_site_label
_atom_site_fract_x
_atom_site_fract_y
_atom_site_fract_z
Ba1 0.000 0.000 0.000
Ba2 0.499 0.534 0.397
Tl1 0.500 0.527 0.145
Tl2 0.999 0.006 0.252
Zn1 0.000 0.009 0.819
Zn2 0.499 0.525 0.578
Cr1 0.500 0.505 0.884
Cr2 0.501 0.018 0.698
Cr3 0.999 0.029 0.513
O1 0.000 0.165 0.130
O2 0.000 0.505 0.864
O3 0.001 0.016 0.720
O4 0.499 0.029 0.535
O5 0.499 0.367 0.267
O6 0.500 0.006 0.862
O7 0.500 0.498 0.981
O8 0.501 0.519 0.677
O9 0.999 0.036 0.415
O10 0.999 0.528 0.532
```

Diffraction record for BaCrW2O8. The XRD peak list is simulated, not measured: it uses a GGA+U-relaxed structure and copper Kα.

Top 10 peaks for 10 to 90 degrees two-theta, most intense first:
| Position (°2θ) | I (rel.) | hkl |
| --- | --- | --- |
| 21.48 | 100 | 1 0 1 |
| 30.36 | 55 | 1 1 0 |
| 30.76 | 40 | 0 1 2 |
| 48.98 | 23 | 2 1 1 |
| 43.76 | 19 | 0 2 2 |
| 54.19 | 17 | 1 2 2 |
| 61.11 | 17 | 1 1 4 |
| 42.21 | 16 | 0 1 3 |
| 37.49 | 13 | 0 2 1 |
| 53.94 | 11 | 3 0 0 |

Structural model:
```
data_BaCrW2O8
_symmetry_space_group_name_H-M 'P -3 m 1'
_symmetry_Int_Tables_number 164
_symmetry_space_group_name_Hall '-P 3 2"'
_cell_length_a 5.8881
_cell_length_b 5.8881
_cell_length_c 7.0769
_cell_angle_alpha 90.00
_cell_angle_beta 90.00
_cell_angle_gamma 120.00
loop_
_atom_site_label
_atom_site_fract_x
_atom_site_fract_y
_atom_site_fract_z
Ba1 0.0000 0.0000 0.0000
Cr1 0.0000 0.0000 0.5000
W1 0.3333 0.6667 0.7488
O1 0.1621 0.3241 0.6758
O2 0.3333 0.6667 0.0040
```

Diffraction record for Ba3Cr2WO9. The XRD peak list is simulated, not measured: it uses a GGA+U-relaxed structure and copper Kα.

Top 10 peaks for 10 to 90 degrees two-theta, most intense first:
| Position (°2θ) | I (rel.) | hkl |
| --- | --- | --- |
| 30.81 | 100 | 1 1 0 |
| 30.66 | 96 | 1 0 4 |
| 54.72 | 58 | 3 0 0 |
| 44.02 | 51 | 2 0 4 |
| 25.73 | 24 | 1 0 3 |
| 89.26 | 21 | 4 1 0 |
| 64.18 | 19 | 2 2 0 |
| 40.56 | 18 | 2 0 3 |
| 72.79 | 17 | 3 1 4 |
| 17.64 | 16 | 1 0 0 |

Structural model:
```
data_Ba3Cr2WO9
_symmetry_space_group_name_H-M 'P 63/m m c'
_symmetry_Int_Tables_number 194
_symmetry_space_group_name_Hall '-P 6c 2c'
_cell_length_a 5.8049
_cell_length_b 5.8049
_cell_length_c 14.3218
_cell_angle_alpha 90.00
_cell_angle_beta 90.00
_cell_angle_gamma 120.00
loop_
_atom_site_label
_atom_site_fract_x
_atom_site_fract_y
_atom_site_fract_z
Ba1 0.0000 0.0000 0.2500
Ba2 0.3333 0.6667 0.1040
Cr1 0.3333 0.6667 0.6584
W1 0.0000 0.0000 0.0000
O1 0.0330 0.5165 0.7500
O2 0.1600 0.3200 0.5782
```